Computed XRD peak list
Compound: BeCo2Cl
Radiation: λ = 1.5418 Å (Cu Kα)
Structure: DFT lattice parameters and positions (GGA-PBE)

Crystal structure
```
4
Lattice="2.8620 0.0000 0.0000 0.0000 2.9438 0.0000 0.0000 0.0000 6.1143" Properties=species:S:1:pos:R:3 pbc="T T T"
Be 0.0000 0.0000 0.0000
Co 1.4310 1.4719 1.1124
Co 1.4310 1.4719 5.0020
Cl 0.0000 1.4719 3.0572
```

The 10 most intense peaks (15 to 90 degrees two-theta), sorted by position:
| 2theta | Rel. int. |
| --- | --- |
| 30.36 | 1000 |
| 31.25 | 261 |
| 34.60 | 385 |
| 43.31 | 452 |
| 44.13 | 265 |
| 44.45 | 306 |
| 46.69 | 404 |
| 53.80 | 366 |
| 54.78 | 364 |
| 79.68 | 131 |



Computed XRD peak list
Compound: Cs17MgPb11
Radiation: λ = 1.5418 Å (Cu Kα)
Structure: DFT lattice parameters and positions (GGA-PBE)

Crystal structure
```
29
Lattice="7.2147 -10.0931 0.0000 7.2147 10.0931 0.0000 -7.1745 0.0000 10.2182" Properties=species:S:1:pos:R:3 pbc="T T T"
Cs 0.0000 0.0000 0.0000
Cs -4.1363 0.0000 5.9416
Cs 2.0892 2.6119 2.7092
Cs -0.8010 5.6410 9.9887
Cs -0.2334 0.0000 5.4741
Cs 3.0536 7.1088 8.4387
Cs 6.0057 3.1383 2.7779
Cs 2.0892 -2.6119 2.7092
Cs 2.9186 2.9517 7.2922
Cs 6.4143 5.5336 5.7597
Cs 2.9186 -2.9517 7.2922
Cs 6.0057 -3.1383 2.7779
Cs 8.2878 0.0000 2.7326
Cs -0.8010 -5.6410 9.9887
Cs 3.3665 0.0000 9.8351
Cs 3.0536 -7.1088 8.4387
Cs 6.4143 -5.5336 5.7597
Mg 4.6099 0.0000 5.0124
Pb 4.8173 7.9924 2.7641
Pb 2.6173 6.3472 4.3181
Pb 4.5172 0.0000 0.6285
Pb -0.3965 1.5789 9.2768
Pb -0.3965 -1.5789 9.2768
Pb 9.7909 3.6937 1.1804
Pb 6.6602 1.6185 6.5900
Pb 2.6173 -6.3472 4.3181
Pb 6.6602 -1.6185 6.5900
Pb 4.8173 -7.9924 2.7641
Pb 9.7909 -3.6937 1.1804
```

The 10 most intense peaks (15 to 90 degrees two-theta), sorted by position:
| 2theta | Rel. int. |
| --- | --- |
| 15.04 | 439 |
| 24.68 | 355 |
| 24.80 | 502 |
| 26.22 | 1000 |
| 26.28 | 313 |
| 26.40 | 615 |
| 27.68 | 240 |
| 28.97 | 652 |
| 29.06 | 262 |
| 29.24 | 970 |



Computed XRD peak list
Compound: Pr2MnZn3Pt4
Radiation: λ = 1.5418 Å (Cu Kα)
Structure: DFT lattice parameters and positions (GGA-PBE)

Crystal structure
```
10
Lattice="4.1474 0.0000 0.0000 0.0000 4.1474 0.0000 0.0000 0.0000 11.2142" Properties=species:S:1:pos:R:3 pbc="T T T"
Pr 0.0000 2.0737 2.7179
Pr 2.0737 0.0000 8.4963
Mn 0.0000 0.0000 5.6071
Zn 0.0000 2.0737 9.7293
Zn 2.0737 0.0000 1.4849
Zn 2.0737 2.0737 5.6071
Pt 0.0000 0.0000 0.0000
Pt 0.0000 2.0737 7.2083
Pt 2.0737 0.0000 4.0059
Pt 2.0737 2.0737 0.0000
```

The 10 most intense peaks (15 to 90 degrees two-theta), sorted by position:
| 2theta | Rel. int. |
| --- | --- |
| 31.53 | 233 |
| 32.24 | 430 |
| 34.51 | 1000 |
| 43.65 | 572 |
| 44.72 | 316 |
| 46.00 | 335 |
| 55.29 | 186 |
| 63.44 | 187 |
| 65.28 | 235 |
| 74.27 | 214 |